Computed powder X-ray diffraction pattern
Compound: BeGe
Radiation: Cu Kα X-rays
Structure: a cell relaxed with PBE
Neutral-atom scattering factors, no anomalous dispersion.

Cell lengths 4.113, 4.110, 2.880 Å; angles 69.55, 69.44, 41.00 degrees
Element x y z (fractional)
Be  0.000  0.000  0.000
Ge  0.685  0.685  0.315

Most intense lines, 15° ≤ 2θ ≤ 90°, in order of rising 2θ:
2theta, intensity
24.93, 51
33.55, 100
44.42, 14
44.56, 14
49.68, 40
51.61, 14
51.73, 14
70.51, 11
74.82, 9
75.02, 9

=====

Computed powder X-ray diffraction pattern
Compound: YSc2Ag3Se6
Radiation: Cu Kα X-rays
Structure: a cell relaxed with PBE
Neutral-atom scattering factors, no anomalous dispersion.

Cell lengths 6.982, 6.982, 6.948 Å; angles 99.55, 99.55, 120.06 degrees
Element x y z (fractional)
Y  0.000  0.000  0.000
Sc  0.332  0.668  0.000
Sc  0.668  0.332  0.000
Ag  0.160  0.840  0.500
Ag  0.500  0.500  0.500
Ag  0.840  0.160  0.500
Se  0.078  0.425  0.235
Se  0.270  0.270  0.765
Se  0.425  0.078  0.235
Se  0.575  0.922  0.765
Se  0.730  0.730  0.235
Se  0.922  0.575  0.765

Most intense lines, 15° ≤ 2θ ≤ 90°, in order of rising 2θ:
2theta, intensity
25.93, 5
31.44, 100
44.99, 35
45.12, 35
55.91, 18
56.13, 6
65.55, 7
74.42, 10
74.59, 14
83.01, 9

=====

What is the formula in the first record? BeGe

=====

What is the formula in the first record? BeGe